Structure and calculated PXRD pattern of Li2AlFeO4 (a cell relaxed with PBE+U; CuKα).
Lines closer than 0.1° are merged.

```
data_Li2AlFeO4
_cell_length_a 5.033
_cell_length_b 5.467
_cell_length_c 8.154
_cell_angle_alpha 90.00
_cell_angle_beta 128.04
_cell_angle_gamma 90.00
_space_group_name_H-M_alt 'P 1 c 1'
_space_group_IT_number 7
loop_
_space_group_symop_operation_xyz
'x,y,z'
'x,-y,z+1/2'
loop_
_atom_site_label
_atom_site_type_symbol
_atom_site_fract_x
_atom_site_fract_y
_atom_site_fract_z
_atom_site_occupancy
Li1 Li 0.000 0.163 0.000 1
Li2 Li 0.252 0.329 0.752 1
Al1 Al 0.495 0.169 0.502 1
Fe1 Fe 0.745 0.332 0.249 1
O1 O 0.130 0.182 0.491 1
O2 O 0.390 0.316 0.273 1
O3 O 0.609 0.143 0.012 1
O4 O 0.826 0.333 0.728 1
```

Principal peaks in the range 15° ≤ 2θ ≤ 90°, most intense first:
2theta	intensity	index
22.44	1000	1 0 -2
21.34	843	0 1 1
35.68	652	2 0 -2
32.33	584	0 1 2
37.06	408	1 1 1
58.21	344	0 3 2
27.81	324	1 1 0
32.76	318	0 2 0
65.00	290	3 1 -1
70.18	212	2 3 -4

=====

Structure and calculated PXRD pattern of Li2AlFeO4 (a cell relaxed with PBE+U; CuKα).
Lines closer than 0.1° are merged.

```
data_Li2AlFeO4
_cell_length_a 7.530
_cell_length_b 7.615
_cell_length_c 6.402
_cell_angle_alpha 90.00
_cell_angle_beta 90.00
_cell_angle_gamma 90.00
_space_group_name_H-M_alt 'C 2 2 21'
_space_group_IT_number 20
loop_
_space_group_symop_operation_xyz
'x,y,z'
'-x,-y,z+1/2'
'x,-y,-z'
'-x,y,-z+1/2'
'x+1/2,y+1/2,z'
'-x+1/2,-y+1/2,z+1/2'
'x+1/2,-y+1/2,-z'
'-x+1/2,y+1/2,-z+1/2'
loop_
_atom_site_label
_atom_site_type_symbol
_atom_site_fract_x
_atom_site_fract_y
_atom_site_fract_z
_atom_site_occupancy
Li1 Li 0.000 0.185 0.250 1
Li2 Li 0.183 0.500 0.500 1
Al1 Al 0.175 0.500 0.000 1
Fe1 Fe 0.000 0.176 0.750 1
O1 O 0.024 0.319 0.990 1
O2 O 0.191 0.010 0.727 1
```

Principal peaks in the range 15° ≤ 2θ ≤ 90°, most intense first:
2theta	intensity	index
21.64	1000	1 1 1
33.47	516	2 2 0
32.59	495	1 1 2
59.28	344	3 3 2
27.25	183	0 2 1
23.63	169	2 0 0
47.27	156	1 3 2
40.37	129	3 1 1
36.38	123	2 2 1
57.59	102	0 0 4